Entry 1:
Starting from a cell relaxed with GGA-PBE, the XRD peak list of K2TaHgSe4 was calculated for Cu Kα, 1.54184 Å.
Kinematic intensities with the Lorentz-polarization factor, no thermal factor.

Atomic structure:
Lattice parameters (Å, degrees): 7.001 13.495 24.354 90.00 90.00 90.00
Space group Fddd (No. 70, origin choice 2)
Unique sites:
K (0.125, 0.125, 0.311)
Ta (0.125, 0.125, 0.625)
Hg (0.125, 0.125, 0.125)
Se (0.082, 0.272, 0.819)

Largest 8 diffraction maxima, most intense first, 2θ from 10° to 90°:
h k l, 2θ (°), Rel. int.
0 2 2, 15.0, 100
0 0 4, 14.5, 66
2 4 2, 37.8, 36
2 0 6, 33.8, 33
0 2 6, 25.6, 31
2 2 4, 32.3, 29
2 2 0, 28.7, 22
0 4 8, 39.9, 20

***

Entry 2:
Starting from a cell relaxed with GGA-PBE, the XRD peak list of K2HgTeSe4 was calculated for Cu Kα, 1.54184 Å.
Kinematic intensities with the Lorentz-polarization factor, no thermal factor.

Atomic structure:
Lattice parameters (Å, degrees): 11.856 12.767 8.469 90.00 130.30 90.00
Space group C2/c (No. 15)
Unique sites:
K (0.000, 0.000, 0.000)
K (0.250, 0.250, 0.000)
Hg (0.250, 0.250, 0.500)
Te (0.000, 0.500, 0.000)
Se (0.033, 0.273, 0.505)
Se (0.211, 0.499, 0.946)

Largest 8 diffraction maxima, most intense first, 2θ from 10° to 90°:
h k l, 2θ (°), Rel. int.
0 0 2, 27.6, 100
0 4 0, 28.0, 100
1 1 -1, 12.6, 83
4 0 -2, 30.2, 75
0 4 2, 39.7, 69
4 4 -2, 41.6, 64
1 1 0, 12.0, 60
4 0 0, 39.9, 41

***

Entry 3:
Starting from a cell relaxed with GGA-PBE, the XRD peak list of KTlHgSe2 was calculated for Cu Kα, 1.54184 Å.
Kinematic intensities with the Lorentz-polarization factor, no thermal factor.

Atomic structure:
Lattice parameters (Å, degrees): 7.245 7.155 8.513 90.00 90.05 90.00
Space group P2/c (No. 13)
Unique sites:
K (0.000, 0.003, 0.250)
Tl (0.500, 0.500, 0.250)
Hg (0.500, 0.000, 0.000)
Se (0.258, 0.243, 0.998)

Largest 8 diffraction maxima, most intense first, 2θ from 10° to 90°:
h k l, 2θ (°), Rel. int.
1 0 0, 12.2, 100
1 1 2, 27.3, 95
2 2 0, 35.3, 45
0 1 2, 24.3, 44
1 3 2, 45.3, 34
2 1 2, 34.9, 32
1 2 0, 27.8, 28
1 1 1, 20.3, 26

***

Entry 4:
Starting from a cell relaxed with GGA-PBE, the XRD peak list of K2SmHg2Te4 was calculated for Cu Kα, 1.54184 Å.
Kinematic intensities with the Lorentz-polarization factor, no thermal factor.

Atomic structure:
Lattice parameters (Å, degrees): 17.464 4.514 8.822 90.00 114.09 90.00
Space group C2/m (No. 12)
Unique sites:
K (0.127, 0.000, 0.079)
Sm (0.000, 0.000, 0.500)
Hg (0.189, 0.500, 0.514)
Te (0.018, 0.500, 0.262)
Te (0.193, 0.000, 0.737)

Largest 8 diffraction maxima, most intense first, 2θ from 10° to 90°:
h k l, 2θ (°), Rel. int.
0 0 1, 11.0, 100
3 1 -2, 29.4, 81
3 1 1, 30.8, 36
3 1 2, 38.7, 29
3 1 -1, 25.3, 27
3 1 -3, 36.6, 23
0 2 0, 39.9, 23
4 0 1, 28.8, 18

***

Entry 5:
Starting from a cell relaxed with GGA-PBE, the XRD peak list of K2Sn3Hg was calculated for Cu Kα, 1.54184 Å.
Kinematic intensities with the Lorentz-polarization factor, no thermal factor.

Atomic structure:
Lattice parameters (Å, degrees): 12.112 5.209 8.451 90.00 133.71 90.00
Space group Cm (No. 8)
Unique sites:
K (0.000, 0.000, 0.000)
K (0.011, 0.500, 0.653)
Sn (0.172, 0.500, 0.404)
Sn (0.327, 0.000, 0.054)
Sn (0.336, 0.500, 0.257)
Hg (0.182, 0.000, 0.588)

Largest 8 diffraction maxima, most intense first, 2θ from 10° to 90°:
h k l, 2θ (°), Rel. int.
3 1 -3, 36.3, 100
1 1 -1, 20.0, 73
0 2 0, 34.4, 73
1 1 -2, 29.0, 69
2 0 -1, 14.6, 66
4 0 -1, 32.6, 57
1 1 2, 41.3, 49
3 1 -1, 28.7, 48

***

Entry 6:
Starting from a cell relaxed with GGA-PBE, the XRD peak list of K2SnHg3 was calculated for Cu Kα, 1.54184 Å.
Kinematic intensities with the Lorentz-polarization factor, no thermal factor.

Atomic structure:
Lattice parameters (Å, degrees): 12.056 5.216 8.526 90.00 132.90 90.00
Space group Cm (No. 8)
Unique sites:
K (0.000, 0.000, 0.000)
K (0.120, 0.000, 0.628)
Sn (0.388, 0.000, 0.213)
Hg (0.220, 0.500, 0.419)
Hg (0.236, 0.500, 0.059)
Hg (0.409, 0.000, 0.598)

Largest 8 diffraction maxima, most intense first, 2θ from 10° to 90°:
h k l, 2θ (°), Rel. int.
3 1 0, 35.0, 100
1 1 0, 19.8, 65
0 2 0, 34.4, 61
2 0 -2, 20.9, 55
3 1 -2, 29.2, 48
1 1 2, 40.5, 48
2 0 -1, 14.7, 46
0 0 2, 28.6, 41

***

Entry 7:
Starting from a cell relaxed with GGA-PBE, the XRD peak list of KSn3Hg was calculated for Cu Kα, 1.54184 Å.
Kinematic intensities with the Lorentz-polarization factor, no thermal factor.

Atomic structure:
Lattice parameters (Å, degrees): 6.711 6.817 6.825 90.00 90.00 90.00
Space group Pmn2_1 (No. 31)
Unique sites:
K (0.000, 0.242, 0.000)
Sn (0.000, 0.605, 0.646)
Sn (0.247, 0.750, 0.005)
Hg (0.000, 0.908, 0.352)

Largest 8 diffraction maxima, most intense first, 2θ from 10° to 90°:
h k l, 2θ (°), Rel. int.
2 1 1, 32.5, 100
1 1 1, 22.7, 72
0 3 1, 41.9, 68
1 0 1, 18.5, 57
0 1 2, 29.3, 52
2 1 2, 39.9, 46
2 2 0, 37.6, 42
1 2 2, 39.7, 32

***

Entry 8:
Starting from a cell relaxed with GGA-PBE, the XRD peak list of KSn6Hg2 was calculated for Cu Kα, 1.54184 Å.
Kinematic intensities with the Lorentz-polarization factor, no thermal factor.

Atomic structure:
Lattice parameters (Å, degrees): 4.819 4.819 11.416 90.00 90.00 90.00
Space group P4/mmm (No. 123)
Unique sites:
K (0.000, 0.000, 0.000)
Sn (0.000, 0.000, 0.500)
Sn (0.000, 0.500, 0.296)
Sn (0.500, 0.500, 0.500)
Hg (0.500, 0.500, 0.125)

Largest 8 diffraction maxima, most intense first, 2θ from 10° to 90°:
h k l, 2θ (°), Rel. int.
1 1 3, 35.4, 100
1 1 2, 30.6, 95
2 0 0, 37.3, 80
1 0 0, 18.4, 42
2 0 5, 55.4, 36
3 1 3, 66.0, 34
1 0 1, 20.0, 32
2 2 0, 53.8, 28